Record 1
This entry pairs a crystal structure of K2PuAg2Te4 with its calculated XRD peak list. Radiation: copper Kα. Structure: a structure optimized by DFT (GGA-PBE).
Intensities are scaled so that the largest is 100.

Principal peaks in the range 5° ≤ 2θ ≤ 70°, by angle:
2theta  I/Imax
12.18  85
19.87  39
26.43  76
29.58  57
36.67  100
38.35  64

Crystal structure
Cell: 7.9906 7.9906 6.6379 Å, 90.00 90.00 130.90°
Fractional positions:
K  0.0000  0.5000  0.2460
K  0.5000  0.0000  0.7540
Pu  0.0000  0.0000  0.5000
Ag  0.0000  0.0000  0.0000
Ag  0.5000  0.5000  0.5000
Te  0.1396  0.3717  0.7556
Te  0.3717  0.1396  0.2444
Te  0.6283  0.8604  0.2444
Te  0.8604  0.6283  0.7556

Record 2
This entry pairs a crystal structure of PrNi2SnP with its calculated XRD peak list. Radiation: copper Kα. Structure: a structure optimized by DFT (GGA-PBE).
Intensities are scaled so that the largest is 100.

Principal peaks in the range 5° ≤ 2θ ≤ 70°, by angle:
2theta  I/Imax
34.35  22
35.34  100
41.98  11
43.49  42
57.49  10
63.19  14

Crystal structure
Cell: 4.1622 4.1622 10.0562 Å, 90.00 90.00 90.00°
Fractional positions:
Pr  0.2500  0.2500  0.2214
Pr  0.7500  0.7500  0.7786
Ni  0.2500  0.2500  0.6591
Ni  0.2500  0.7500  0.0000
Ni  0.7500  0.2500  0.0000
Ni  0.7500  0.7500  0.3409
Sn  0.2500  0.7500  0.5000
Sn  0.7500  0.2500  0.5000
P  0.2500  0.2500  0.8829
P  0.7500  0.7500  0.1171

Record 3
This entry pairs a crystal structure of PrSm3Se3O4 with its calculated XRD peak list. Radiation: copper Kα. Structure: a structure optimized by DFT (GGA-PBE).
Intensities are scaled so that the largest is 100.

Principal peaks in the range 5° ≤ 2θ ≤ 70°, by angle:
2theta  I/Imax
25.33  55
30.66  100
31.77  57
35.14  30
45.64  20
47.31  22

Crystal structure
Cell: 8.3934 6.7367 6.7367 Å, 34.32 90.00 90.00°
Fractional positions:
Pr  0.0000  0.0000  0.0000
Sm  0.2386  0.6841  0.6841
Sm  0.5000  0.0200  0.0200
Sm  0.7614  0.6841  0.6841
Se  0.0000  0.3114  0.3114
Se  0.3498  0.3578  0.3578
Se  0.6502  0.3578  0.3578
O  0.0000  0.5921  0.5921
O  0.2472  0.0906  0.0906
O  0.5000  0.6169  0.6169
O  0.7528  0.0906  0.0906